Starting from a structure optimized by DFT (PBE), the XRD peak list of U2TiS5 was calculated for Cu Kα, 1.54184 Å.
No peak broadening, texture or thermal motion is included.

Main lines, most intense first (10° ≤ 2θ ≤ 80°):
35.9 deg, intensity 100; 27.1 deg, intensity 87; 38.0 deg, intensity 56; 25.0 deg, intensity 51; 23.1 deg, intensity 49; 15.9 deg, intensity 43

Structure:
```
data_U2TiS5
_cell_length_a 11.1484
_cell_length_b 7.6845
_cell_length_c 7.1371
_cell_angle_alpha 90.00
_cell_angle_beta 90.00
_cell_angle_gamma 90.00
_symmetry_space_group_name_H-M 'P n m a'
_symmetry_Int_Tables_number 62
_symmetry_space_group_name_Hall '-P 2ac 2n'
loop_
_atom_site_label
_atom_site_type_symbol
_atom_site_fract_x
_atom_site_fract_y
_atom_site_fract_z
U1 U 0.1797 0.0022 0.0310
Ti1 Ti 0.0049 0.7500 0.5792
S1 S 0.0038 0.7500 0.9523
S2 S 0.0858 0.0359 0.6645
S3 S 0.1817 0.7500 0.3388
S4 S 0.2068 0.2500 0.3173
```